Entry 1:
Tb5CeHo2Tm: simulated powder XRD pattern (Cu Kα, 1.54184 Å), based on the PBE geometry in Alexandria.

Structure:
```
data_Tb5CeHo2Tm
_chemical_formula_sum 'Tb20 Ce4 Ho8 Tm4'
_space_group_name_H-M_alt 'C m c 21'
_space_group_IT_number 36
_cell_length_a 5.592
_cell_length_b 20.407
_cell_length_c 10.166
_cell_angle_alpha 90.00
_cell_angle_beta 90.00
_cell_angle_gamma 90.00
loop_
_space_group_symop_operation_xyz
'x,y,z'
'-x,-y,z+1/2'
'-x,y,z'
'x,-y,z+1/2'
'x+1/2,y+1/2,z'
'-x+1/2,-y+1/2,z+1/2'
'-x+1/2,y+1/2,z'
'x+1/2,-y+1/2,z+1/2'
loop_
_atom_site_label
_atom_site_fract_x
_atom_site_fract_y
_atom_site_fract_z
_atom_site_occupancy
Tb1 0.000 0.015 0.000 1
Tb2 0.000 0.273 0.700 1
Tb3 0.000 0.299 0.314 1
Tb4 0.000 0.388 0.988 1
Tb5 0.000 0.478 0.275 1
Ce1 0.000 0.197 0.001 1
Ho1 0.000 0.113 0.700 1
Ho2 0.000 0.116 0.287 1
Tm1 0.000 0.406 0.569 1
```

Main lines, by angle (2θ = 5–70°):
| Position (°2θ) | I (rel.) | index |
| --- | --- | --- |
| 27.67 | 20 | 0 6 1 |
| 31.17 | 40 | 1 1 3 |
| 32.01 | 43 | 2 0 0 |
| 32.37 | 100 | 1 5 2 |
| 35.84 | 11 | 1 7 1 |
| 42.81 | 12 | 2 6 1 |
| 52.43 | 11 | 0 6 5 |
| 57.28 | 20 | 3 5 2 |
| 59.13 | 12 | 1 11 3 |
| 62.77 | 13 | 2 6 5 |


Entry 2:
Tb3CeY6Ho2: simulated powder XRD pattern (Cu Kα, 1.54184 Å), based on the PBE geometry in Alexandria.

Structure:
```
data_Tb3CeY6Ho2
_chemical_formula_sum 'Tb6 Ce2 Y12 Ho4'
_space_group_name_H-M_alt 'C 1 2/m 1'
_space_group_IT_number 12
_cell_length_a 6.173
_cell_length_b 10.685
_cell_length_c 11.799
_cell_angle_alpha 90.00
_cell_angle_beta 100.02
_cell_angle_gamma 90.00
loop_
_space_group_symop_operation_xyz
'x,y,z'
'-x,-y,-z'
'-x,y,-z'
'x,-y,z'
'x+1/2,y+1/2,z'
'-x+1/2,-y+1/2,-z'
'-x+1/2,y+1/2,-z'
'x+1/2,-y+1/2,z'
loop_
_atom_site_label
_atom_site_fract_x
_atom_site_fract_y
_atom_site_fract_z
_atom_site_occupancy
Tb1 0.000 0.000 0.000 1
Tb2 0.000 0.333 0.000 1
Ce1 0.000 0.500 0.500 1
Y1 0.248 0.500 0.251 1
Y2 0.249 0.334 0.749 1
Ho1 0.000 0.167 0.500 1
```

Main lines, by angle (2θ = 5–70°):
| Position (°2θ) | I (rel.) | index |
| --- | --- | --- |
| 15.25 | 9 | 0 0 2 |
| 29.40 | 6 | 2 0 0 |
| 30.75 | 100 | 1 3 1 |
| 35.66 | 50 | 2 0 2 |
| 38.98 | 3 | 1 3 3 |
| 51.31 | 35 | 1 3 5 |
| 61.01 | 35 | 4 0 0 |
| 61.07 | 7 | 1 3 -7 |
| 64.03 | 9 | 2 6 2 |
| 64.12 | 3 | 0 0 8 |


Entry 3:
CeHo2Tc: simulated powder XRD pattern (Cu Kα, 1.54184 Å), based on the PBE geometry in Alexandria.

Structure:
```
data_CeHo2Tc
_chemical_formula_sum 'Ce4 Ho8 Tc4'
_space_group_name_H-M_alt 'P n m a'
_space_group_IT_number 62
_cell_length_a 7.144
_cell_length_b 9.538
_cell_length_c 6.306
_cell_angle_alpha 90.00
_cell_angle_beta 90.00
_cell_angle_gamma 90.00
loop_
_space_group_symop_operation_xyz
'x,y,z'
'-x,-y,-z'
'-x+1/2,-y,z+1/2'
'x+1/2,y,-z+1/2'
'x+1/2,-y+1/2,-z+1/2'
'-x+1/2,y+1/2,z+1/2'
'-x,y+1/2,-z'
'x,-y+1/2,z'
loop_
_atom_site_label
_atom_site_fract_x
_atom_site_fract_y
_atom_site_fract_z
_atom_site_occupancy
Ce1 0.055 0.250 0.140 1
Ho1 0.177 0.065 0.669 1
Tc1 0.136 0.750 0.500 1
```

Main lines, by angle (2θ = 5–70°):
| Position (°2θ) | I (rel.) | index |
| --- | --- | --- |
| 30.24 | 36 | 2 1 1 |
| 31.00 | 64 | 1 0 2 |
| 31.29 | 38 | 2 2 0 |
| 31.51 | 100 | 0 3 1 |
| 32.43 | 42 | 1 1 2 |
| 33.98 | 67 | 1 3 1 |
| 34.44 | 56 | 2 2 1 |
| 40.49 | 29 | 3 0 1 |
| 49.05 | 33 | 1 2 3 |
| 57.99 | 29 | 0 6 0 |


Entry 4:
CeHoTmTc: simulated powder XRD pattern (Cu Kα, 1.54184 Å), based on the PBE geometry in Alexandria.

Structure:
```
data_CeHoTmTc
_chemical_formula_sum 'Ce3 Ho3 Tm3 Tc3'
_space_group_name_H-M_alt 'R 3 m'
_space_group_IT_number 160
_space_group_name_Hall 'R 3 -2"'
_cell_length_a 4.4783
_cell_length_b 4.4783
_cell_length_c 18.7208
_cell_angle_alpha 90.00
_cell_angle_beta 90.00
_cell_angle_gamma 120.00
loop_
_atom_site_label
_atom_site_fract_x
_atom_site_fract_y
_atom_site_fract_z
_atom_site_occupancy
Ce1 0.0000 0.0000 0.0000 1
Ho1 0.0000 0.0000 0.4459 1
Tm1 0.0000 0.0000 0.2328 1
Tc1 0.0000 0.0000 0.6531 1
```

Main lines, by angle (2θ = 5–70°):
| Position (°2θ) | I (rel.) | index |
| --- | --- | --- |
| 23.42 | 24 | 1 0 1 |
| 29.92 | 89 | 1 0 4 |
| 33.26 | 100 | 0 1 5 |
| 40.28 | 87 | 1 1 0 |
| 43.51 | 19 | 0 0 9 |
| 50.98 | 20 | 0 2 4 |
| 53.19 | 26 | 2 0 5 |
| 60.78 | 42 | 1 1 9 |
| 66.89 | 18 | 2 1 4 |
| 68.77 | 24 | 1 2 5 |


Entry 5:
CeHoTe2: simulated powder XRD pattern (Cu Kα, 1.54184 Å), based on the PBE geometry in Alexandria.

Structure:
```
data_CeHoTe2
_chemical_formula_sum 'Ce3 Ho3 Te6'
_space_group_name_H-M_alt 'R 3 m'
_space_group_IT_number 160
_space_group_name_Hall 'R 3 -2"'
_cell_length_a 4.2257
_cell_length_b 4.2257
_cell_length_c 23.7377
_cell_angle_alpha 90.00
_cell_angle_beta 90.00
_cell_angle_gamma 120.00
loop_
_atom_site_label
_atom_site_fract_x
_atom_site_fract_y
_atom_site_fract_z
_atom_site_occupancy
Ce1 0.0000 0.0000 0.0000 1
Ho1 0.0000 0.0000 0.8269 1
Te1 0.0000 0.0000 0.4164 1
Te2 0.0000 0.0000 0.5771 1
```

Main lines, by angle (2θ = 5–70°):
| Position (°2θ) | I (rel.) | index |
| --- | --- | --- |
| 24.61 | 16 | 1 0 1 |
| 25.47 | 40 | 0 1 2 |
| 28.66 | 15 | 1 0 4 |
| 30.85 | 100 | 0 1 5 |
| 36.11 | 62 | 1 0 7 |
| 42.80 | 58 | 1 1 0 |
| 45.87 | 15 | 0 0 12 |
| 53.68 | 21 | 2 0 5 |
| 57.21 | 16 | 0 2 7 |
| 64.53 | 32 | 1 1 12 |


Entry 6:
CeHo5Te6: simulated powder XRD pattern (Cu Kα, 1.54184 Å), based on the PBE geometry in Alexandria.

Structure:
```
data_CeHo5Te6
_chemical_formula_sum 'Ce2 Ho10 Te12'
_space_group_name_H-M_alt 'C 1 2/m 1'
_space_group_IT_number 12
_cell_length_a 7.520
_cell_length_b 13.100
_cell_length_c 7.583
_cell_angle_alpha 90.00
_cell_angle_beta 109.56
_cell_angle_gamma 90.00
loop_
_space_group_symop_operation_xyz
'x,y,z'
'-x,-y,-z'
'-x,y,-z'
'x,-y,z'
'x+1/2,y+1/2,z'
'-x+1/2,-y+1/2,-z'
'-x+1/2,y+1/2,-z'
'x+1/2,-y+1/2,z'
loop_
_atom_site_label
_atom_site_fract_x
_atom_site_fract_y
_atom_site_fract_z
_atom_site_occupancy
Ce1 0.000 0.000 0.000 1
Ho1 0.000 0.162 0.500 1
Ho2 0.000 0.332 0.000 1
Ho3 0.000 0.500 0.500 1
Te1 0.241 0.500 0.250 1
Te2 0.244 0.329 0.744 1
```

Main lines, by angle (2θ = 5–70°):
| Position (°2θ) | I (rel.) | index |
| --- | --- | --- |
| 28.95 | 100 | 2 0 -2 |
| 41.30 | 38 | 1 3 -3 |
| 41.52 | 38 | 2 0 2 |
| 51.14 | 7 | 0 0 4 |
| 51.27 | 13 | 2 6 -2 |
| 51.60 | 7 | 4 0 0 |
| 60.00 | 13 | 4 0 -4 |
| 67.78 | 12 | 3 3 -5 |
| 67.89 | 6 | 1 9 1 |
| 68.11 | 11 | 5 3 -3 |


Entry 7:
Ce2Ho2Th5: simulated powder XRD pattern (Cu Kα, 1.54184 Å), based on the PBE geometry in Alexandria.

Structure:
```
data_Ce2Ho2Th5
_chemical_formula_sum 'Ce4 Ho4 Th10'
_space_group_name_H-M_alt 'C 1 2/m 1'
_space_group_IT_number 12
_cell_length_a 11.174
_cell_length_b 4.968
_cell_length_c 10.606
_cell_angle_alpha 90.00
_cell_angle_beta 108.85
_cell_angle_gamma 90.00
loop_
_space_group_symop_operation_xyz
'x,y,z'
'-x,-y,-z'
'-x,y,-z'
'x,-y,z'
'x+1/2,y+1/2,z'
'-x+1/2,-y+1/2,-z'
'-x+1/2,y+1/2,-z'
'x+1/2,-y+1/2,z'
loop_
_atom_site_label
_atom_site_fract_x
_atom_site_fract_y
_atom_site_fract_z
_atom_site_occupancy
Ce1 0.164 0.000 0.053 1
Ho1 0.164 0.000 0.386 1
Th1 0.000 0.500 0.500 1
Th2 0.003 0.500 0.836 1
Th3 0.169 0.000 0.728 1
```

Main lines, by angle (2θ = 5–70°):
| Position (°2θ) | I (rel.) | index |
| --- | --- | --- |
| 31.08 | 100 | 3 1 0 |
| 35.85 | 17 | 4 0 -3 |
| 36.13 | 34 | 0 2 0 |
| 51.85 | 18 | 4 2 -3 |
| 52.03 | 12 | 2 2 3 |
| 61.42 | 7 | 5 1 -6 |
| 61.52 | 7 | 7 1 -3 |
| 61.76 | 7 | 1 1 6 |
| 61.88 | 22 | 3 3 0 |
| 64.72 | 6 | 2 2 -6 |


Entry 8:
CeHo14Th: simulated powder XRD pattern (Cu Kα, 1.54184 Å), based on the PBE geometry in Alexandria.

Structure:
```
data_CeHo14Th
_chemical_formula_sum 'Ce1 Ho14 Th1'
_space_group_name_H-M_alt 'P 4/m m m'
_space_group_IT_number 123
_space_group_name_Hall '-P 4 2'
_cell_length_a 7.062
_cell_length_b 7.062
_cell_length_c 9.978
_cell_angle_alpha 90.00
_cell_angle_beta 90.00
_cell_angle_gamma 90.00
loop_
_atom_site_label
_atom_site_fract_x
_atom_site_fract_y
_atom_site_fract_z
_atom_site_occupancy
Ce1 0.000 0.000 0.000 1
Ho1 0.000 0.000 0.500 1
Ho2 0.000 0.500 0.000 1
Ho3 0.000 0.500 0.500 1
Ho4 0.251 0.251 0.250 1
Ho5 0.500 0.500 0.500 1
Th1 0.500 0.500 0.000 1
```

Main lines, by angle (2θ = 5–70°):
| Position (°2θ) | I (rel.) | index |
| --- | --- | --- |
| 31.03 | 100 | 2 0 2 |
| 35.98 | 51 | 2 2 0 |
| 51.80 | 36 | 4 0 0 |
| 61.62 | 43 | 4 2 2 |
| 64.69 | 12 | 4 0 4 |


Entry 9:
Ce2Ho2Tl5: simulated powder XRD pattern (Cu Kα, 1.54184 Å), based on the PBE geometry in Alexandria.

Structure:
```
data_Ce2Ho2Tl5
_chemical_formula_sum 'Ce8 Ho8 Tl20'
_space_group_name_H-M_alt 'I m a 2'
_space_group_IT_number 46
_cell_length_a 17.590
_cell_length_b 9.168
_cell_length_c 6.451
_cell_angle_alpha 90.00
_cell_angle_beta 90.00
_cell_angle_gamma 90.00
loop_
_space_group_symop_operation_xyz
'x,y,z'
'-x,-y,z'
'-x+1/2,y,z'
'x+1/2,-y,z'
'x+1/2,y+1/2,z+1/2'
'-x+1/2,-y+1/2,z+1/2'
'-x,y+1/2,z+1/2'
'x,-y+1/2,z+1/2'
loop_
_atom_site_label
_atom_site_fract_x
_atom_site_fract_y
_atom_site_fract_z
_atom_site_occupancy
Ce1 0.064 0.079 0.000 1
Ho1 0.000 0.000 0.500 1
Ho2 0.250 0.677 0.999 1
Tl1 0.090 0.750 0.250 1
Tl2 0.164 0.132 0.499 1
Tl3 0.250 0.027 0.998 1
```

Main lines, by angle (2θ = 5–70°):
| Position (°2θ) | I (rel.) | index |
| --- | --- | --- |
| 27.65 | 26 | 0 0 2 |
| 28.12 | 21 | 4 2 0 |
| 29.67 | 30 | 1 3 0 |
| 29.80 | 22 | 1 1 2 |
| 33.17 | 42 | 3 1 2 |
| 34.01 | 66 | 0 2 2 |
| 35.02 | 100 | 5 2 1 |
| 37.10 | 18 | 7 1 0 |
| 53.27 | 15 | 4 4 2 |
| 53.81 | 30 | 5 2 3 |


Entry 10:
CeHoTl: simulated powder XRD pattern (Cu Kα, 1.54184 Å), based on the PBE geometry in Alexandria.

Structure:
```
data_CeHoTl
_chemical_formula_sum 'Ce2 Ho2 Tl2'
_space_group_name_H-M_alt 'P 3 m 1'
_space_group_IT_number 156
_cell_length_a 5.4201
_cell_length_b 5.4201
_cell_length_c 6.7723
_cell_angle_alpha 90.00
_cell_angle_beta 90.00
_cell_angle_gamma 120.00
loop_
_space_group_symop_operation_xyz
'x,y,z'
'-y,x-y,z'
'-x+y,-x,z'
'-y,-x,z'
'-x+y,y,z'
'x,x-y,z'
loop_
_atom_site_label
_atom_site_fract_x
_atom_site_fract_y
_atom_site_fract_z
_atom_site_occupancy
Ce1 0.0000 0.0000 0.0000 1
Ce2 0.3333 0.6667 0.7742 1
Ho1 0.0000 0.0000 0.4921 1
Ho2 0.6667 0.3333 0.2414 1
Tl1 0.3333 0.6667 0.2692 1
Tl2 0.6667 0.3333 0.7331 1
```

Main lines, by angle (2θ = 5–70°):
| Position (°2θ) | I (rel.) | index |
| --- | --- | --- |
| 26.32 | 9 | 0 0 2 |
| 32.61 | 89 | 1 0 2 |
| 33.05 | 100 | 1 1 0 |
| 42.74 | 15 | 1 1 2 |
| 47.11 | 32 | 0 2 2 |
| 54.17 | 7 | 0 0 4 |
| 58.76 | 33 | 2 1 2 |
| 59.04 | 19 | 3 0 0 |
| 64.94 | 25 | 1 1 4 |
| 69.35 | 12 | 2 2 0 |


Entry 11:
CeHoTl6: simulated powder XRD pattern (Cu Kα, 1.54184 Å), based on the PBE geometry in Alexandria.

Structure:
```
data_CeHoTl6
_chemical_formula_sum 'Ce1 Ho1 Tl6'
_space_group_name_H-M_alt 'P 4/m m m'
_space_group_IT_number 123
_space_group_name_Hall '-P 4 2'
_cell_length_a 4.798
_cell_length_b 4.798
_cell_length_c 9.576
_cell_angle_alpha 90.00
_cell_angle_beta 90.00
_cell_angle_gamma 90.00
loop_
_atom_site_label
_atom_site_fract_x
_atom_site_fract_y
_atom_site_fract_z
_atom_site_occupancy
Ce1 0.000 0.000 0.000 1
Ho1 0.000 0.000 0.500 1
Tl1 0.000 0.500 0.253 1
Tl2 0.500 0.500 0.000 1
Tl3 0.500 0.500 0.500 1
```

Main lines, by angle (2θ = 5–70°):
| Position (°2θ) | I (rel.) | index |
| --- | --- | --- |
| 18.51 | 1 | 1 0 0 |
| 26.29 | 1 | 1 1 0 |
| 32.34 | 100 | 1 1 2 |
| 37.52 | 51 | 2 0 0 |
| 42.14 | 1 | 2 1 0 |
| 54.10 | 36 | 2 2 0 |
| 64.42 | 28 | 3 1 2 |
| 64.53 | 14 | 1 1 6 |
| 67.70 | 12 | 2 2 4 |


Entry 12:
CeHo4Tl4: simulated powder XRD pattern (Cu Kα, 1.54184 Å), based on the PBE geometry in Alexandria.

Structure:
```
data_CeHo4Tl4
_chemical_formula_sum 'Ce2 Ho8 Tl8'
_space_group_name_H-M_alt 'P 42/n'
_space_group_IT_number 86
_cell_length_a 9.401
_cell_length_b 9.401
_cell_length_c 5.919
_cell_angle_alpha 90.00
_cell_angle_beta 90.00
_cell_angle_gamma 90.00
loop_
_space_group_symop_operation_xyz
'x,y,z'
'-x,-y,-z'
'-y,x+1/2,z+1/2'
'y,-x+1/2,-z+1/2'
'-x+1/2,-y+1/2,z'
'x+1/2,y+1/2,-z'
'y+1/2,-x,z+1/2'
'-y+1/2,x,-z+1/2'
loop_
_atom_site_label
_atom_site_fract_x
_atom_site_fract_y
_atom_site_fract_z
_atom_site_occupancy
Ce1 0.250 0.250 0.250 1
Ho1 0.091 0.826 0.643 1
Tl1 0.036 0.144 0.847 1
```

Main lines, by angle (2θ = 5–70°):
| Position (°2θ) | I (rel.) | index |
| --- | --- | --- |
| 30.06 | 100 | 3 1 0 |
| 30.85 | 35 | 2 2 1 |
| 31.70 | 58 | 1 0 2 |
| 32.32 | 73 | 3 0 1 |
| 33.74 | 20 | 1 3 1 |
| 37.15 | 66 | 2 1 2 |
| 37.70 | 74 | 2 3 1 |
| 58.12 | 21 | 5 0 2 |
| 62.06 | 22 | 6 1 1 |
| 65.50 | 23 | 5 4 1 |


Entry 13:
CeHo4Tm5: simulated powder XRD pattern (Cu Kα, 1.54184 Å), based on the PBE geometry in Alexandria.

Structure:
```
data_CeHo4Tm5
_chemical_formula_sum 'Ce2 Ho8 Tm10'
_space_group_name_H-M_alt 'C 1 2/m 1'
_space_group_IT_number 12
_cell_length_a 17.415
_cell_length_b 4.960
_cell_length_c 8.470
_cell_angle_alpha 90.00
_cell_angle_beta 116.72
_cell_angle_gamma 90.00
loop_
_space_group_symop_operation_xyz
'x,y,z'
'-x,-y,-z'
'-x,y,-z'
'x,-y,z'
'x+1/2,y+1/2,z'
'-x+1/2,-y+1/2,-z'
'-x+1/2,y+1/2,-z'
'x+1/2,-y+1/2,z'
loop_
_atom_site_label
_atom_site_fract_x
_atom_site_fract_y
_atom_site_fract_z
_atom_site_occupancy
Ce1 0.000 0.000 0.000 1
Ho1 0.031 0.500 0.270 1
Ho2 0.177 0.000 0.422 1
Tm1 0.000 0.000 0.500 1
Tm2 0.161 0.500 0.701 1
Tm3 0.177 0.500 0.119 1
```

Main lines, by angle (2θ = 5–70°):
| Position (°2θ) | I (rel.) | index |
| --- | --- | --- |
| 30.75 | 15 | 3 1 1 |
| 31.40 | 37 | 5 1 -1 |
| 32.27 | 100 | 1 1 2 |
| 32.49 | 21 | 4 0 -3 |
| 33.21 | 72 | 5 1 -2 |
| 34.60 | 34 | 6 0 0 |
| 36.23 | 42 | 0 2 0 |
| 50.96 | 23 | 6 2 0 |
| 62.68 | 15 | 1 3 2 |
| 63.24 | 14 | 5 3 -2 |